No. 1
For MgFe8O8F8, a DFT-relaxed cell (PBE+U, the Materials Project) gives the computed powder diffractogram in this record (Cu Kα, 1.54184 Å).
Intensities are scaled so that the largest is 100.

Main lines, by angle (10° ≤ 2θ ≤ 90°):
hkl 1 1 0, d 3.699, 24.06°, rel. 100; hkl 0 1 4, d 2.584, 34.71°, rel. 10; hkl 1 0 4, d 2.564, 35.00°, rel. 11; hkl 1 0 -4, d 2.522, 35.60°, rel. 19; hkl -1 1 4, d 2.295, 39.25°, rel. 10; hkl 0 0 8, d 1.458, 63.82°, rel. 11

Cell lengths 5.1860, 5.2816, 11.6746 Å; angles 88.38, 88.84, 89.80 degrees
Fractional positions:
Mg (0.0000, 0.0000, 0.0000)
Fe (0.0007, 0.5632, 0.8681)
Fe (0.0200, 0.5971, 0.3826)
Fe (0.3686, 0.0905, 0.5055)
Fe (0.5015, 0.9314, 0.7498)
Fe (0.5083, 0.9493, 0.0056)
Fe (0.5209, 0.9543, 0.2601)
Fe (0.8624, 0.4369, 0.6274)
Fe (0.8709, 0.4638, 0.1408)
O (0.1129, 0.3509, 0.5007)
O (0.2664, 0.8603, 0.8817)
O (0.2675, 0.8651, 0.3807)
O (0.6085, 0.1725, 0.6268)
O (0.6984, 0.1451, 0.1293)
O (0.7354, 0.6591, 0.7451)
O (0.7559, 0.6746, 0.2652)
O (0.7971, 0.6793, 0.0130)
F (0.1291, 0.3346, 0.7384)
F (0.1540, 0.3835, 0.2521)
F (0.1560, 0.3284, 0.0165)
F (0.2471, 0.8432, 0.6280)
F (0.2466, 0.8732, 0.1397)
F (0.6294, 0.1897, 0.3787)
F (0.7375, 0.1316, 0.8780)
F (0.7599, 0.6900, 0.5029)

No. 2
For MnO2, a DFT-relaxed cell (PBE+U, the Materials Project) gives the computed powder diffractogram in this record (Cu Kα, 1.54184 Å).
Intensities are scaled so that the largest is 100.

Main lines, by angle (10° ≤ 2θ ≤ 90°):
hkl 0 0 3, d 4.766, 18.62°, rel. 100; hkl 1 1 -1, d 4.745, 18.70°, rel. 25; hkl 2 2 1, d 2.484, 36.17°, rel. 39; hkl 2 2 4, d 2.063, 43.90°, rel. 43; hkl 2 0 -4, d 2.056, 44.04°, rel. 21; hkl 4 2 0, d 1.454, 64.03°, rel. 14

Cell lengths 5.8157, 5.8178, 14.3263 Å; angles 89.86, 89.72, 60.02 degrees
Fractional positions:
Mn (0.0000, 0.0000, 0.0000)
Mn (0.9999, 0.4989, 0.0001)
Mn (0.1664, 0.6648, 0.8351)
Mn (0.1738, 0.1631, 0.3302)
Mn (0.3323, 0.8323, 0.6688)
Mn (0.3335, 0.3332, 0.6679)
Mn (0.5010, 0.4989, 0.0001)
Mn (0.6617, 0.1617, 0.3315)
Mn (0.6624, 0.6752, 0.3309)
Mn (0.8328, 0.8338, 0.6680)
Mn (0.8342, 0.3333, 0.1667)
Mn (0.8369, 0.3355, 0.5439)
O (0.0198, 0.5198, 0.7459)
O (0.0199, 0.9588, 0.7464)
O (0.1284, 0.1853, 0.0766)
O (0.1662, 0.6662, 0.0677)
O (0.1673, 0.6669, 0.5993)
O (0.1847, 0.1583, 0.5966)
O (0.3135, 0.8114, 0.9210)
O (0.3141, 0.3721, 0.9216)
O (0.3420, 0.8424, 0.3956)
O (0.3425, 0.3151, 0.3949)
O (0.4600, 0.5193, 0.7458)
O (0.4988, 0.0000, 0.7343)
O (0.5005, 0.9997, 0.2597)
O (0.5438, 0.4785, 0.2530)
O (0.6583, 0.6863, 0.5964)
O (0.6591, 0.1575, 0.5979)
O (0.6860, 0.6273, 0.0769)
O (0.6868, 0.1863, 0.0774)
O (0.8152, 0.8427, 0.3947)
O (0.8312, 0.3335, 0.4043)
O (0.8342, 0.3327, 0.9317)
O (0.8735, 0.8124, 0.9217)
O (0.9791, 0.0432, 0.2529)
O (0.9792, 0.4785, 0.2529)

No. 3
For LiMnP3O9, a DFT-relaxed cell (PBE+U, the Materials Project) gives the computed powder diffractogram in this record (Cu Kα, 1.54184 Å).
Intensities are scaled so that the largest is 100.

Main lines, by angle (10° ≤ 2θ ≤ 90°):
hkl 1 0 0, d 6.735, 13.15°, rel. 64; hkl 1 1 1, d 4.660, 19.04°, rel. 54; hkl 1 1 -1, d 4.120, 21.57°, rel. 49; hkl 0 0 2, d 3.739, 23.80°, rel. 41; hkl 1 1 2, d 3.273, 27.25°, rel. 100; hkl 2 -1 0, d 2.870, 31.17°, rel. 74

Cell lengths 6.8718, 7.3014, 7.5428 Å; angles 85.02, 83.65, 79.97 degrees
Fractional positions:
Li (0.1287, 0.1346, 0.2961)
Li (0.8713, 0.8654, 0.7039)
Mn (0.4287, 0.8418, 0.8275)
Mn (0.5713, 0.1582, 0.1725)
P (0.1454, 0.2234, 0.7085)
P (0.2311, 0.5425, 0.1580)
P (0.4286, 0.7716, 0.3711)
P (0.5714, 0.2284, 0.6289)
P (0.7689, 0.4575, 0.8420)
P (0.8546, 0.7766, 0.2915)
O (0.0039, 0.4012, 0.7956)
O (0.0721, 0.1884, 0.5381)
O (0.1792, 0.0628, 0.8482)
O (0.2732, 0.3319, 0.1677)
O (0.2963, 0.6462, 0.9888)
O (0.3232, 0.6042, 0.3270)
O (0.3431, 0.3198, 0.6741)
O (0.3765, 0.9416, 0.2424)
O (0.3846, 0.7964, 0.5663)
O (0.6154, 0.2036, 0.4337)
O (0.6235, 0.0584, 0.7576)
O (0.6569, 0.6802, 0.3259)
O (0.6768, 0.3958, 0.6730)
O (0.7037, 0.3538, 0.0112)
O (0.7268, 0.6681, 0.8323)
O (0.8208, 0.9372, 0.1518)
O (0.9279, 0.8116, 0.4619)
O (0.9961, 0.5988, 0.2044)

No. 4
For Li2FeBO4, a DFT-relaxed cell (PBE+U, the Materials Project) gives the computed powder diffractogram in this record (Cu Kα, 1.54184 Å).
Intensities are scaled so that the largest is 100.

Main lines, by angle (10° ≤ 2θ ≤ 90°):
hkl 1 1 0, d 5.294, 16.75°, rel. 54; hkl 1 1 1, d 3.565, 24.98°, rel. 100; hkl 3 1 0, d 2.992, 29.86°, rel. 43; hkl 2 2 0, d 2.647, 33.87°, rel. 43; hkl 0 0 2, d 2.412, 37.29°, rel. 39; hkl 2 2 1, d 2.320, 38.81°, rel. 32

Cell lengths 10.2580, 6.1802, 4.8233 Å; angles 90.00, 90.00, 90.00 degrees
Fractional positions:
Li (0.0744, 0.2349, 0.0000)
Li (0.1576, 0.9966, 0.5021)
Li (0.3424, 0.4966, 0.0021)
Li (0.4256, 0.7349, 0.5000)
Li (0.5744, 0.2651, 0.0000)
Li (0.6576, 0.5034, 0.5021)
Li (0.8424, 0.0034, 0.0021)
Li (0.9256, 0.7651, 0.5000)
Fe (0.1617, 0.4895, 0.5039)
Fe (0.3383, 0.9895, 0.0039)
Fe (0.6617, 0.0105, 0.5039)
Fe (0.8383, 0.5105, 0.0039)
B (0.0898, 0.7438, 0.0092)
B (0.4102, 0.2438, 0.5092)
B (0.5898, 0.7562, 0.0092)
B (0.9102, 0.2562, 0.5092)
O (0.0500, 0.2509, 0.4167)
O (0.0970, 0.7379, 0.3174)
O (0.1556, 0.5426, 0.8973)
O (0.1585, 0.9441, 0.9087)
O (0.3415, 0.4441, 0.4087)
O (0.3444, 0.0426, 0.3973)
O (0.4030, 0.2379, 0.8174)
O (0.4500, 0.7509, 0.9167)
O (0.5500, 0.2491, 0.4167)
O (0.5970, 0.7621, 0.3174)
O (0.6556, 0.9574, 0.8973)
O (0.6585, 0.5559, 0.9087)
O (0.8415, 0.0559, 0.4087)
O (0.8444, 0.4574, 0.3973)
O (0.9030, 0.2621, 0.8174)
O (0.9500, 0.7491, 0.9167)

No. 5
For LiZn2CrO4, a DFT-relaxed cell (PBE+U, the Materials Project) gives the computed powder diffractogram in this record (Cu Kα, 1.54184 Å).
Intensities are scaled so that the largest is 100.

Main lines, by angle (10° ≤ 2θ ≤ 90°):
hkl 0 0 2, d 4.437, 20.01°, rel. 35; hkl 1 0 1, d 3.777, 23.55°, rel. 45; hkl 1 1 2, d 2.458, 36.56°, rel. 89; hkl 0 0 4, d 2.218, 40.67°, rel. 59; hkl 2 0 0, d 2.087, 43.35°, rel. 100; hkl 2 0 4, d 1.520, 60.95°, rel. 61

Cell lengths 4.1746, 4.1746, 8.8735 Å; angles 90.00, 90.00, 90.00 degrees
Fractional positions:
Li (0.0000, 0.0000, 0.0000)
Li (0.5000, 0.5000, 0.5000)
Zn (0.0000, 0.5000, 0.2500)
Zn (0.0000, 0.5000, 0.7500)
Zn (0.5000, 0.0000, 0.2500)
Zn (0.5000, 0.0000, 0.7500)
Cr (0.0000, 0.0000, 0.5000)
Cr (0.5000, 0.5000, 0.0000)
O (0.0000, 0.0000, 0.2738)
O (0.0000, 0.0000, 0.7262)
O (0.0000, 0.5000, 0.0000)
O (0.0000, 0.5000, 0.5000)
O (0.5000, 0.0000, 0.0000)
O (0.5000, 0.0000, 0.5000)
O (0.5000, 0.5000, 0.2262)
O (0.5000, 0.5000, 0.7738)